NdGa2HRu2: computed X-ray diffraction stick pattern (Cu Kα (λ = 1.5418 Å)), based on a structure optimized by DFT (PBE).
No peak broadening, texture or thermal motion is included.

Most intense lines, 2θ from 10° to 80°, in order of rising 2θ:
Position (°2θ), I (rel.), hkl
27.09, 24, 1 0 1
33.43, 9, 0 0 2
34.72, 100, 1 1 1
39.98, 43, 1 0 2
43.39, 50, 2 0 0
45.74, 14, 1 1 2
60.47, 25, 2 1 2
60.58, 14, 1 1 3
63.04, 16, 2 2 0
74.01, 22, 3 1 1

Atomic structure:
```
data_NdGa2HRu2
_cell_length_a 4.1709
_cell_length_b 4.1709
_cell_length_c 5.3611
_cell_angle_alpha 90.00
_cell_angle_beta 90.00
_cell_angle_gamma 90.00
_symmetry_space_group_name_H-M 'P 1'
_symmetry_Int_Tables_number 1
loop_
_symmetry_equiv_pos_as_xyz
'x,y,z'
loop_
_atom_site_label
_atom_site_fract_x
_atom_site_fract_y
_atom_site_fract_z
Nd1 0.0000 0.0000 0.0000
Ga1 0.5000 0.5000 0.2343
Ga2 0.5000 0.5000 0.7657
H1 0.0000 0.0000 0.5000
Ru1 0.0000 0.5000 0.5000
Ru2 0.5000 0.0000 0.5000
```